Calculated powder diffractogram of CoHSO4 for Cu Ka, from a cell relaxed with PBE+U.
No peak broadening, texture or thermal motion is included.

Structural model:
```
CoHSO4
1.0
3.344 -3.999 0.000
3.344 3.999 0.000
-2.552 0.000 5.797
Co H S O
2 2 2 8
Direct
0.000 0.000 0.000 Co
0.000 0.000 0.500 Co
0.060 0.940 0.750 H
0.940 0.060 0.250 H
0.335 0.665 0.250 S
0.665 0.335 0.750 S
0.145 0.688 0.393 O
0.262 0.378 0.098 O
0.312 0.855 0.107 O
0.378 0.262 0.598 O
0.622 0.738 0.402 O
0.688 0.145 0.893 O
0.738 0.622 0.902 O
0.855 0.312 0.607 O
```

Largest 10 diffraction maxima, by intensity, 15 to 90 degrees two-theta:
2theta	I_rel
30.44	100.0
19.73	63.4
29.18	44.7
18.25	42.9
27.46	36.7
36.77	33.1
38.35	29.6
44.25	22.3
27.09	18.8
56.68	16.8